The following is a theoretical powder diffraction line list of KMnCdH6. It was derived from a structure optimized by DFT (PBE), using a wavelength of 1.5418 Å.
Kinematic intensities with the Lorentz-polarization factor, no thermal factor.

Peak list (10 most intense, 10° ≤ 2θ ≤ 90°, low angle first)
| 2θ/deg | Rel. int. | h k l |
| --- | --- | --- |
| 17.0 | 48 | 0 0 1 |
| 21.2 | 22 | 1 0 0 |
| 27.3 | 100 | 1 0 1 |
| 34.4 | 20 | 0 0 2 |
| 37.1 | 51 | 1 1 0 |
| 41.1 | 30 | 1 1 1 |
| 46.7 | 21 | 2 0 1 |
| 51.5 | 38 | 1 1 2 |
| 57.4 | 11 | 1 0 3 |
| 61.1 | 18 | 2 1 1 |

Cell and atoms:
Cell lengths 4.8450, 4.8450, 5.2142 Å; angles 90.00, 90.00, 120.00 degrees
Space group P-6m2 (No. 187)
One atom of each set of equivalent atoms:
1 K 0.0000 0.0000 0.0000
2 Mn 0.6667 0.3333 0.5000
3 Cd 0.3333 0.6667 0.5000
4 H 0.5334 0.0668 0.2733